For TaAlP2W, the GGA-PBE geometry in Alexandria gives the theoretical XRD peak list in this record (Cu Ka).
Neutral-atom scattering factors, no anomalous dispersion.

Atomic structure:
Cell: 4.663 4.663 5.099 Å, 90.00 90.00 90.00°
Space group P4/mmm (No. 123)
Unique sites:
Ta1 0.000 0.000 0.000 (multiplicity 1)
Al1 0.500 0.500 0.500 (multiplicity 1)
P1 0.000 0.500 0.000 (multiplicity 2)
W1 0.000 0.000 0.500 (multiplicity 1)

Largest 12 diffraction maxima, sorted by position, 2θ = 10–90°:
2θ = 19.0°, rel. 100.0, (1 0 0); 2θ = 27.0°, rel. 41.1, (1 1 0); 2θ = 35.2°, rel. 20.0, (0 0 2); 2θ = 38.6°, rel. 30.9, (2 0 0); 2θ = 40.3°, rel. 30.5, (1 0 2); 2θ = 43.4°, rel. 24.8, (2 1 0); 2θ = 44.9°, rel. 21.7, (1 1 2); 2θ = 53.2°, rel. 24.4, (2 0 2); 2θ = 55.8°, rel. 10.6, (2 2 0); 2θ = 57.1°, rel. 22.4, (2 1 2); 2θ = 67.7°, rel. 11.9, (2 2 2); 2θ = 74.3°, rel. 10.0, (3 1 2)